[1]
Calculated X-ray diffraction stick pattern of CaSn5 for Cu Ka, from DFT lattice parameters and positions (PBE).

```
data_CaSn5
_chemical_formula_sum 'Ca2 Sn10'
_cell_length_a 11.825
_cell_length_b 4.249
_cell_length_c 6.747
_cell_angle_alpha 90.00
_cell_angle_beta 103.94
_cell_angle_gamma 90.00
_space_group_name_H-M_alt 'C 1 2/m 1'
_space_group_IT_number 12
_space_group_name_Hall '-C 2y'
loop_
_atom_site_label
_atom_site_type_symbol
_atom_site_fract_x
_atom_site_fract_y
_atom_site_fract_z
_atom_site_occupancy
Ca1 Ca 0.000 0.000 0.000 1
Sn1 Sn 0.000 0.000 0.500 1
Sn2 Sn 0.162 0.500 0.340 1
Sn3 Sn 0.178 0.500 0.822 1
```

Largest 6 diffraction maxima, low angle first, 10° ≤ 2θ ≤ 90°:
h k l, 2θ (°), d [Å], I (rel.)
3 1 0, 31.47, 2.843, 1000
1 1 -2, 33.95, 2.640, 818
2 0 2, 34.66, 2.588, 395
4 0 -2, 36.32, 2.473, 322
0 2 0, 42.55, 2.125, 226
2 2 2, 56.00, 1.642, 204

***

[2]
Calculated X-ray diffraction stick pattern of CaSn for Cu Ka, from DFT lattice parameters and positions (PBE).

```
data_CaSn
_chemical_formula_sum 'Ca4 Sn4'
_cell_length_a 8.946
_cell_length_b 4.388
_cell_length_c 6.237
_cell_angle_alpha 90.00
_cell_angle_beta 90.00
_cell_angle_gamma 90.00
_space_group_name_H-M_alt 'P n m a'
_space_group_IT_number 62
_space_group_name_Hall '-P 2ac 2n'
loop_
_atom_site_label
_atom_site_type_symbol
_atom_site_fract_x
_atom_site_fract_y
_atom_site_fract_z
_atom_site_occupancy
Ca1 Ca 0.178 0.250 0.123 1
Sn1 Sn 0.050 0.250 0.638 1
```

Largest 6 diffraction maxima, low angle first, 10° ≤ 2θ ≤ 90°:
h k l, 2θ (°), d [Å], I (rel.)
1 0 1, 17.33, 5.116, 669
2 0 0, 19.85, 4.473, 332
0 1 1, 24.81, 3.589, 299
2 1 0, 28.50, 3.132, 608
2 1 1, 31.97, 2.799, 723
1 1 2, 36.76, 2.445, 1000

***

[3]
Calculated X-ray diffraction stick pattern of Ca2Sn3 for Cu Ka, from DFT lattice parameters and positions (PBE).

```
data_Ca2Sn3
_chemical_formula_sum 'Ca4 Sn6'
_cell_length_a 7.916
_cell_length_b 7.916
_cell_length_c 4.715
_cell_angle_alpha 90.00
_cell_angle_beta 90.00
_cell_angle_gamma 90.00
_space_group_name_H-M_alt 'P 4/m b m'
_space_group_IT_number 127
_space_group_name_Hall '-P 4 2ab'
loop_
_atom_site_label
_atom_site_type_symbol
_atom_site_fract_x
_atom_site_fract_y
_atom_site_fract_z
_atom_site_occupancy
Ca1 Ca 0.173 0.327 0.000 1
Sn1 Sn 0.000 0.000 0.500 1
Sn2 Sn 0.129 0.629 0.500 1
```

Largest 6 diffraction maxima, low angle first, 10° ≤ 2θ ≤ 90°:
h k l, 2θ (°), d [Å], I (rel.)
0 0 1, 18.82, 4.715, 585
2 1 1, 31.60, 2.831, 1000
3 1 0, 35.88, 2.503, 522
0 0 2, 38.17, 2.358, 268
3 1 1, 40.81, 2.211, 395
3 1 2, 53.38, 1.716, 337

***

[4]
Calculated X-ray diffraction stick pattern of Ca3Sn for Cu Ka, from DFT lattice parameters and positions (PBE).

```
data_Ca3Sn
_chemical_formula_sum 'Ca3 Sn1'
_cell_length_a 5.012
_cell_length_b 5.012
_cell_length_c 5.012
_cell_angle_alpha 90.00
_cell_angle_beta 90.00
_cell_angle_gamma 90.00
_space_group_name_H-M_alt 'P m -3 m'
_space_group_IT_number 221
_space_group_name_Hall '-P 4 2 3'
loop_
_atom_site_label
_atom_site_type_symbol
_atom_site_fract_x
_atom_site_fract_y
_atom_site_fract_z
_atom_site_occupancy
Ca1 Ca 0.000 0.000 0.500 1
Sn1 Sn 0.500 0.500 0.500 1
```

Largest 6 diffraction maxima, low angle first, 10° ≤ 2θ ≤ 90°:
h k l, 2θ (°), d [Å], I (rel.)
1 0 0, 17.70, 5.012, 268
1 1 0, 25.13, 3.544, 243
1 1 1, 30.90, 2.893, 1000
2 0 0, 35.84, 2.506, 499
2 2 0, 51.58, 1.772, 339
3 1 1, 61.35, 1.511, 396